# Nd6ErS8
Calculated PXRD pattern, λ = 1.5418 Å (Cu Kα). Input: the PBE geometry in Alexandria.
Kinematic intensities with the Lorentz-polarization factor, no thermal factor.

Largest 10 diffraction maxima, low angle first, 15 to 90 degrees two-theta:
| 2theta | intensity | hkl |
| --- | --- | --- |
| 26.95 | 66 | 2 2 2 |
| 31.22 | 100 | 4 0 0 |
| 44.74 | 72 | 4 4 0 |
| 53.01 | 34 | 6 2 2 |
| 55.56 | 25 | 4 4 4 |
| 65.12 | 12 | 8 0 0 |
| 71.82 | 14 | 6 6 2 |
| 73.99 | 32 | 8 4 0 |
| 82.47 | 24 | 8 4 4 |
| 88.72 | 11 | 10 2 2 |

Structure:
Cell lengths 11.459, 11.459, 11.459 Å; angles 90.00, 90.00, 90.00 degrees
Space group Fm-3m (No. 225)
Symmetry-distinct sites (fractional):
Nd (0.000, 0.250, 0.250)
Er (0.000, 0.000, 0.000)
S (0.000, 0.000, 0.241)
S (0.250, 0.250, 0.250)

# H6PdRhPb2
Calculated PXRD pattern, λ = 1.5418 Å (Cu Kα). Input: the PBE geometry in Alexandria.
Kinematic intensities with the Lorentz-polarization factor, no thermal factor.

Largest 10 diffraction maxima, low angle first, 15 to 90 degrees two-theta:
| 2theta | intensity | hkl |
| --- | --- | --- |
| 33.32 | 100 | 2 0 0 |
| 33.53 | 98 | 2 2 -1 |
| 47.59 | 13 | 0 0 2 |
| 47.99 | 12 | 0 4 0 |
| 48.39 | 12 | 4 0 -2 |
| 59.43 | 13 | 2 2 1 |
| 59.54 | 13 | 2 2 -3 |
| 59.74 | 25 | 2 4 0 |
| 59.94 | 13 | 4 2 -1 |
| 60.06 | 12 | 4 2 -3 |

Structure:
Cell lengths 7.524, 7.583, 5.355 Å; angles 90.00, 134.47, 90.00 degrees
Space group Cm (No. 8)
Symmetry-distinct sites (fractional):
H (0.000, 0.000, 0.000)
H (0.007, 0.000, 0.529)
H (0.024, 0.500, 0.530)
H (0.032, 0.500, 0.061)
H (0.265, 0.262, 0.529)
Pd (0.265, 0.000, 0.529)
Rh (0.266, 0.500, 0.530)
Pb (0.264, 0.251, 0.028)

# RbMg
Calculated PXRD pattern, λ = 1.5418 Å (Cu Kα). Input: the PBE geometry in Alexandria.
Kinematic intensities with the Lorentz-polarization factor, no thermal factor.

Largest 10 diffraction maxima, low angle first, 15 to 90 degrees two-theta:
| 2theta | intensity | hkl |
| --- | --- | --- |
| 16.05 | 22 | 0 0 2 |
| 22.60 | 100 | 0 1 1 |
| 24.17 | 32 | 0 0 3 |
| 26.62 | 65 | 0 1 -2 |
| 30.01 | 58 | 1 1 0 |
| 32.30 | 32 | 0 1 3 |
| 38.90 | 35 | 1 1 -3 |
| 39.01 | 16 | 0 1 -4 |
| 42.96 | 21 | 2 0 0 |
| 49.05 | 18 | 1 2 1 |

Structure:
Cell lengths 4.207, 4.215, 11.044 Å; angles 89.91, 89.98, 89.90 degrees
Space group P1 (No. 1)
Symmetry-distinct sites (fractional):
Rb (0.000, 0.000, 0.000)
Rb (0.500, 0.496, 0.611)
Mg (0.004, 0.002, 0.360)
Mg (0.505, 0.503, 0.252)